Starting from a GGA-PBE-relaxed structure, the XRD peak list of Ac2Cd7Sn was computed for Cu Kα X-rays.

Principal peaks in the range 2θ from 15° to 90°, most intense first:
2θ/deg, d/Å, I/Imax, index
30.38, 2.942, 100, 1 1 2
28.88, 3.092, 55, 1 0 3
37.91, 2.373, 54, 2 0 0
41.55, 2.174, 33, 1 0 5
48.35, 1.883, 27, 2 1 3
57.50, 1.603, 25, 2 1 5
63.86, 1.458, 24, 3 1 2
54.70, 1.678, 18, 2 2 0
26.56, 3.356, 14, 1 1 0
73.74, 1.285, 13, 2 0 8

Cell and atoms:
Unit cell a=4.7463 b=4.7463 c=12.2251 alpha=90.00 beta=90.00 gamma=90.00
Space group P-4m2 (No. 115)
One atom of each set of equivalent atoms:
Ac: 0.0000 0.5000 0.2492 x2
Cd: 0.0000 0.0000 0.0000 x1
Cd: 0.0000 0.0000 0.5000 x1
Cd: 0.0000 0.5000 0.6353 x2
Cd: 0.0000 0.5000 0.8605 x2
Cd: 0.5000 0.5000 0.5000 x1
Sn: 0.5000 0.5000 0.0000 x1